(1)
Diffraction record for Pr4Ho4Tm3. The X-ray powder pattern is theoretical, not measured: it uses a crystal structure in Alexandria, relaxed with GGA-PBE and Cu Ka.
Neutral-atom scattering factors, no anomalous dispersion.

Structural model:
a = 35.115 Å, b = 5.711 Å, c = 3.602 Å
α = 90.00°, β = 90.05°, γ = 90.00°
Space group C2/m (No. 12)
Unique sites:
Pr1 0.096 0.000 0.002 x4
Pr2 0.219 0.500 0.000 x4
Ho1 0.044 0.500 0.002 x4
Ho2 0.188 0.000 0.500 x4
Tm1 0.000 0.000 0.500 x2
Tm2 0.130 0.500 0.503 x4

Top 8 peaks for 2θ = 10–90°, by intensity:
2θ = 32.02°, rel. 100, (5 1 -1); 2θ = 32.12°, rel. 85, (11 1 0); 2θ = 31.32°, rel. 51, (0 2 0); 2θ = 56.23°, rel. 37, (11 3 0); 2θ = 29.11°, rel. 30, (6 0 1); 2θ = 61.29°, rel. 26, (11 1 2); 2θ = 58.95°, rel. 23, (16 2 -1); 2θ = 48.58°, rel. 21, (16 0 -1)

---

(2)
Diffraction record for Pr4DyTm6. The X-ray powder pattern is theoretical, not measured: it uses a crystal structure in Alexandria, relaxed with GGA-PBE and Cu Ka.
Neutral-atom scattering factors, no anomalous dispersion.

Structural model:
a = 6.666 Å, b = 6.666 Å, c = 16.915 Å
α = 90.00°, β = 90.00°, γ = 90.00°
Space group I-42m (No. 121)
Unique sites:
Pr1 0.190 0.190 0.176 x8
Dy1 0.000 0.000 0.000 x2
Tm1 0.000 0.500 0.000 x4
Tm2 0.178 0.178 0.377 x8

Top 8 peaks for 2θ = 10–90°, by intensity:
2θ = 30.45°, rel. 100, (2 1 1); 2θ = 34.26°, rel. 81, (2 0 4); 2θ = 28.79°, rel. 65, (2 0 2); 2θ = 28.35°, rel. 46, (1 1 4); 2θ = 29.61°, rel. 32, (1 0 5); 2θ = 38.19°, rel. 32, (2 2 0); 2θ = 40.32°, rel. 31, (2 1 5); 2θ = 37.16°, rel. 31, (1 1 6)

---

(3)
Diffraction record for TcPAu2. The X-ray powder pattern is theoretical, not measured: it uses a crystal structure in Alexandria, relaxed with GGA-PBE and Cu Ka.
Neutral-atom scattering factors, no anomalous dispersion.

Structural model:
a = 3.044 Å, b = 3.087 Å, c = 13.974 Å
α = 90.00°, β = 90.00°, γ = 90.00°
Space group Amm2 (No. 38)
Unique sites:
Tc1 0.000 0.000 0.000 x2
P1 0.500 0.000 0.569 x2
Au1 0.000 0.000 0.714 x2
Au2 0.500 0.000 0.354 x2

Top 8 peaks for 2θ = 10–90°, by intensity:
2θ = 34.86°, rel. 100, (0 1 3); 2θ = 42.19°, rel. 92, (1 1 1); 2θ = 39.26°, rel. 87, (1 0 4); 2θ = 12.67°, rel. 42, (0 0 2); 2θ = 32.07°, rel. 41, (1 0 2); 2θ = 63.34°, rel. 39, (1 1 7); 2θ = 38.66°, rel. 29, (0 0 6); 2θ = 74.01°, rel. 28, (1 2 4)

---

(4)
Diffraction record for NaBi2Pd7. The X-ray powder pattern is theoretical, not measured: it uses a crystal structure in Alexandria, relaxed with GGA-PBE and Cu Ka.
Neutral-atom scattering factors, no anomalous dispersion.

Structural model:
a = 7.374 Å, b = 14.133 Å, c = 4.267 Å
α = 90.00°, β = 90.00°, γ = 90.00°
Space group Cmmm (No. 65)
Unique sites:
Na1 0.000 0.000 0.000 x2
Bi1 0.000 0.304 0.500 x4
Pd1 0.000 0.192 0.000 x4
Pd2 0.000 0.500 0.500 x2
Pd3 0.184 0.103 0.500 x8

Top 8 peaks for 2θ = 10–90°, by intensity:
2θ = 40.18°, rel. 100, (1 5 1); 2θ = 20.82°, rel. 80, (0 0 1); 2θ = 42.94°, rel. 44, (3 1 1); 2θ = 42.37°, rel. 36, (0 0 2); 2θ = 27.28°, rel. 30, (2 2 0); 2θ = 30.76°, rel. 29, (1 3 1); 2θ = 12.53°, rel. 25, (0 2 0); 2θ = 46.81°, rel. 24, (3 3 1)